No. 1
Starting from a DFT-relaxed cell (GGA-PBE, Alexandria), the powder diffractogram of PaVC2 was calculated for Cu Kα (λ = 1.5418 Å).

Cell: 5.6414 3.3176 10.7912 Å, 90.00 90.00 90.00°
Space group Pnma (No. 62)
Unique sites:
Pa 0.0825 0.2500 0.1415 [4 per cell]
V 0.0812 0.7500 0.3982 [4 per cell]
C 0.1655 0.2500 0.7525 [4 per cell]
C 0.2246 0.2500 0.4870 [4 per cell]

Most intense lines, 2θ from 5° to 70°, by intensity:
35.53°, I = 100
29.45°, I = 39
17.74°, I = 35
32.82°, I = 32
28.14°, I = 30
33.21°, I = 28
62.39°, I = 24
22.81°, I = 19
60.84°, I = 19
40.29°, I = 18

No. 2
Starting from a DFT-relaxed cell (GGA-PBE, Alexandria), the powder diffractogram of Zr3PaC4 was calculated for Cu Kα (λ = 1.5418 Å).

Cell: 5.9209 6.8592 5.9091 Å, 90.00 109.39 90.00°
Space group P2/c (No. 13)
Unique sites:
Zr 0.0000 0.1194 0.2500 [2 per cell]
Zr 0.5000 0.1202 0.7500 [2 per cell]
Zr 0.5000 0.3673 0.2500 [2 per cell]
Pa 0.0000 0.3734 0.7500 [2 per cell]
C 0.2529 0.1236 0.0010 [4 per cell]
C 0.2538 0.3725 0.4999 [4 per cell]

Most intense lines, 2θ from 5° to 70°, by intensity:
32.03°, I = 100
37.13°, I = 63
53.62°, I = 53
32.12°, I = 33
37.25°, I = 31
63.83°, I = 19
63.70°, I = 19
66.97°, I = 16
20.52°, I = 15
63.90°, I = 14

No. 3
Starting from a DFT-relaxed cell (GGA-PBE, Alexandria), the powder diffractogram of Pb2C3 was calculated for Cu Kα (λ = 1.5418 Å).

Cell: 10.3102 13.4348 6.3001 Å, 90.00 90.00 90.00°
Space group Fdd2 (No. 43)
Unique sites:
Pb 0.0801 0.2180 0.0000 [16 per cell]
C 0.0000 0.0000 0.1506 [8 per cell]
C 0.1077 0.0529 0.1394 [16 per cell]

Most intense lines, 2θ from 5° to 70°, by intensity:
30.36°, I = 100
17.77°, I = 83
31.36°, I = 82
35.91°, I = 57
25.89°, I = 52
37.41°, I = 47
21.73°, I = 46
26.54°, I = 39
55.19°, I = 31
31.80°, I = 28

No. 4
Starting from a DFT-relaxed cell (GGA-PBE, Alexandria), the powder diffractogram of Pb4C3 was calculated for Cu Kα (λ = 1.5418 Å).

Cell: 5.3667 5.3667 5.3667 Å, 90.00 90.00 90.00°
Space group P-43m (No. 215)
Unique sites:
Pb 0.2464 0.2464 0.7536 [4 per cell]
C 0.0000 0.5000 0.5000 [3 per cell]

Most intense lines, 2θ from 5° to 70°, by intensity:
28.81°, I = 100
33.39°, I = 47
56.90°, I = 46
47.95°, I = 41
59.68°, I = 13

No. 5
Starting from a DFT-relaxed cell (GGA-PBE, Alexandria), the powder diffractogram of Pb3C2 was calculated for Cu Kα (λ = 1.5418 Å).

Cell: 3.6917 3.6917 25.8405 Å, 90.00 90.00 120.00°
Space group R-3m (No. 166, hexagonal axes)
Unique sites:
Pb 0.0000 0.0000 0.0000 [3 per cell]
Pb 0.0000 0.0000 0.2230 [6 per cell]
C 0.0000 0.0000 0.3975 [6 per cell]

Most intense lines, 2θ from 5° to 70°, by intensity:
31.19°, I = 100
32.94°, I = 67
59.55°, I = 44
49.37°, I = 31
28.12°, I = 23
54.35°, I = 17
39.67°, I = 13
60.64°, I = 12
57.67°, I = 12
28.77°, I = 10

No. 6
Starting from a DFT-relaxed cell (GGA-PBE, Alexandria), the powder diffractogram of Pb2C was calculated for Cu Kα (λ = 1.5418 Å).

Cell: 3.6753 3.6753 18.1918 Å, 90.00 90.00 120.00°
Space group R-3m (No. 166, hexagonal axes)
Unique sites:
Pb 0.0000 0.0000 0.2427 [6 per cell]
C 0.0000 0.0000 0.5000 [3 per cell]

Most intense lines, 2θ from 5° to 70°, by intensity:
29.74°, I = 100
34.39°, I = 75
29.46°, I = 32
58.75°, I = 29
49.61°, I = 28
49.25°, I = 25
58.91°, I = 15
61.76°, I = 14
58.43°, I = 13
14.61°, I = 5

Please write out number 6 again, unchanged.
Starting from a DFT-relaxed cell (GGA-PBE, Alexandria), the powder diffractogram of Pb2C was calculated for Cu Kα (λ = 1.5418 Å).

Cell: 3.6753 3.6753 18.1918 Å, 90.00 90.00 120.00°
Space group R-3m (No. 166, hexagonal axes)
Unique sites:
Pb 0.0000 0.0000 0.2427 [6 per cell]
C 0.0000 0.0000 0.5000 [3 per cell]

Most intense lines, 2θ from 5° to 70°, by intensity:
29.74°, I = 100
34.39°, I = 75
29.46°, I = 32
58.75°, I = 29
49.61°, I = 28
49.25°, I = 25
58.91°, I = 15
61.76°, I = 14
58.43°, I = 13
14.61°, I = 5

Repeat the first record exactly.
Starting from a DFT-relaxed cell (GGA-PBE, Alexandria), the powder diffractogram of PaVC2 was calculated for Cu Kα (λ = 1.5418 Å).

Cell: 5.6414 3.3176 10.7912 Å, 90.00 90.00 90.00°
Space group Pnma (No. 62)
Unique sites:
Pa 0.0825 0.2500 0.1415 [4 per cell]
V 0.0812 0.7500 0.3982 [4 per cell]
C 0.1655 0.2500 0.7525 [4 per cell]
C 0.2246 0.2500 0.4870 [4 per cell]

Most intense lines, 2θ from 5° to 70°, by intensity:
35.53°, I = 100
29.45°, I = 39
17.74°, I = 35
32.82°, I = 32
28.14°, I = 30
33.21°, I = 28
62.39°, I = 24
22.81°, I = 19
60.84°, I = 19
40.29°, I = 18